# K9Rb2Hg3
Calculated PXRD pattern, Cu Kα. Input: the PBE geometry in Alexandria.

Atomic structure:
```
data_K9Rb2Hg3
_chemical_formula_sum 'K36 Rb8 Hg12'
_cell_length_a 20.158
_cell_length_b 11.046
_cell_length_c 15.729
_cell_angle_alpha 90.00
_cell_angle_beta 116.38
_cell_angle_gamma 90.00
_space_group_name_H-M_alt 'C 1 2/c 1'
_space_group_IT_number 15
loop_
_space_group_symop_operation_xyz
'x,y,z'
'-x,-y,-z'
'-x,y,-z+1/2'
'x,-y,z+1/2'
'x+1/2,y+1/2,z'
'-x+1/2,-y+1/2,-z'
'-x+1/2,y+1/2,-z+1/2'
'x+1/2,-y+1/2,z+1/2'
loop_
_atom_site_label
_atom_site_type_symbol
_atom_site_fract_x
_atom_site_fract_y
_atom_site_fract_z
K1 K 0.000 0.178 0.250
K2 K 0.057 0.463 0.922
K3 K 0.094 0.108 0.038
K4 K 0.111 0.203 0.751
K5 K 0.228 0.086 0.435
Rb1 Rb 0.191 0.422 0.254
Hg1 Hg 0.099 0.234 0.517
Hg2 Hg 0.250 0.250 0.000
```

Main lines, in order of rising 2θ (2θ from 10° to 90°):
2θ 12.56, intensity 65; 2θ 15.44, intensity 86; 2θ 19.79, intensity 56; 2θ 20.11, intensity 47; 2θ 20.43, intensity 50; 2θ 25.28, intensity 47; 2θ 26.54, intensity 48; 2θ 27.62, intensity 100

---

# Tb7Bi2Os2
Calculated PXRD pattern, Cu Kα. Input: the PBE geometry in Alexandria.

Atomic structure:
```
data_Tb7Bi2Os2
_chemical_formula_sum 'Tb14 Bi4 Os4'
_cell_length_a 4.020
_cell_length_b 16.434
_cell_length_c 9.332
_cell_angle_alpha 90.00
_cell_angle_beta 90.00
_cell_angle_gamma 90.00
_space_group_name_H-M_alt 'I m m 2'
_space_group_IT_number 44
loop_
_space_group_symop_operation_xyz
'x,y,z'
'-x,-y,z'
'-x,y,z'
'x,-y,z'
'x+1/2,y+1/2,z+1/2'
'-x+1/2,-y+1/2,z+1/2'
'-x+1/2,y+1/2,z+1/2'
'x+1/2,-y+1/2,z+1/2'
loop_
_atom_site_label
_atom_site_type_symbol
_atom_site_fract_x
_atom_site_fract_y
_atom_site_fract_z
Tb1 Tb 0.000 0.000 0.000
Tb2 Tb 0.000 0.132 0.586
Tb3 Tb 0.000 0.316 0.380
Tb4 Tb 0.000 0.341 0.746
Bi1 Bi 0.000 0.000 0.332
Bi2 Bi 0.000 0.500 0.242
Os1 Os 0.000 0.244 0.068
```

Main lines, in order of rising 2θ (2θ from 10° to 90°):
2θ 29.84, intensity 26; 2θ 32.62, intensity 100; 2θ 33.12, intensity 41; 2θ 33.67, intensity 37; 2θ 36.52, intensity 15; 2θ 38.15, intensity 49; 2θ 45.11, intensity 25; 2θ 57.09, intensity 18

---

# Sr2Cd2In15
Calculated PXRD pattern, Cu Kα. Input: the PBE geometry in Alexandria.

Atomic structure:
```
data_Sr2Cd2In15
_chemical_formula_sum 'Sr6 Cd6 In45'
_cell_length_a 9.7512
_cell_length_b 9.7512
_cell_length_c 19.5829
_cell_angle_alpha 90.00
_cell_angle_beta 90.00
_cell_angle_gamma 120.00
_space_group_name_H-M_alt 'R -3 m'
_space_group_IT_number 166
_space_group_name_Hall '-R 3 2"'
loop_
_atom_site_label
_atom_site_type_symbol
_atom_site_fract_x
_atom_site_fract_y
_atom_site_fract_z
Sr1 Sr 0.0000 0.0000 0.2173
Cd1 Cd 0.0000 0.0000 0.4011
In1 In 0.0000 0.2963 0.5000
In2 In 0.0000 0.5000 0.0000
In3 In 0.0776 0.5388 0.6131
```

Main lines, in order of rising 2θ (2θ from 10° to 90°):
2θ 29.43, intensity 53; 2θ 31.15, intensity 100; 2θ 33.03, intensity 37; 2θ 34.70, intensity 81; 2θ 36.87, intensity 18; 2θ 39.46, intensity 31; 2θ 42.40, intensity 16; 2θ 56.65, intensity 15

---

# Er2AgSeS3
Calculated PXRD pattern, Cu Kα. Input: the PBE geometry in Alexandria.

Atomic structure:
```
data_Er2AgSeS3
_chemical_formula_sum 'Er12 Ag6 Se6 S18'
_cell_length_a 7.9762
_cell_length_b 7.9762
_cell_length_c 19.4342
_cell_angle_alpha 90.00
_cell_angle_beta 90.00
_cell_angle_gamma 120.00
_space_group_name_H-M_alt 'R -3 m'
_space_group_IT_number 166
_space_group_name_Hall '-R 3 2"'
loop_
_atom_site_label
_atom_site_type_symbol
_atom_site_fract_x
_atom_site_fract_y
_atom_site_fract_z
Er1 Er 0.0000 0.0000 0.0000
Er2 Er 0.0000 0.5000 0.5000
Ag1 Ag 0.0000 0.0000 0.3883
Se1 Se 0.0000 0.0000 0.2513
S1 S 0.0247 0.5123 0.7539
```

Main lines, in order of rising 2θ (2θ from 10° to 90°):
2θ 13.63, intensity 33; 2θ 22.30, intensity 27; 2θ 26.23, intensity 100; 2θ 26.31, intensity 38; 2θ 31.79, intensity 59; 2θ 41.66, intensity 46; 2θ 45.49, intensity 51; 2θ 45.66, intensity 47

---

# Rb2SmCu3F12
Calculated PXRD pattern, Cu Kα. Input: the PBE geometry in Alexandria.

Atomic structure:
```
data_Rb2SmCu3F12
_chemical_formula_sum 'Rb6 Sm3 Cu9 F36'
_cell_length_a 7.6112
_cell_length_b 7.6112
_cell_length_c 16.6805
_cell_angle_alpha 90.00
_cell_angle_beta 90.00
_cell_angle_gamma 120.00
_space_group_name_H-M_alt 'R -3 m'
_space_group_IT_number 166
_space_group_name_Hall '-R 3 2"'
loop_
_atom_site_label
_atom_site_type_symbol
_atom_site_fract_x
_atom_site_fract_y
_atom_site_fract_z
Rb1 Rb 0.0000 0.0000 0.1116
Sm1 Sm 0.0000 0.0000 0.5000
Cu1 Cu 0.0000 0.5000 0.0000
F1 F 0.0007 0.5003 0.1169
F2 F 0.0840 0.5420 0.3206
```

Main lines, in order of rising 2θ (2θ from 10° to 90°):
2θ 14.45, intensity 52; 2θ 23.38, intensity 35; 2θ 27.59, intensity 35; 2θ 28.42, intensity 100; 2θ 29.13, intensity 60; 2θ 30.02, intensity 55; 2θ 44.33, intensity 37; 2θ 47.80, intensity 60

---

# Tl8H
Calculated PXRD pattern, Cu Kα. Input: the PBE geometry in Alexandria.

Atomic structure:
```
data_Tl8H
_chemical_formula_sum 'Tl8 H1'
_cell_length_a 7.1014
_cell_length_b 7.1014
_cell_length_c 5.7730
_cell_angle_alpha 90.00
_cell_angle_beta 90.00
_cell_angle_gamma 120.00
_space_group_name_H-M_alt 'P -3 m 1'
_space_group_IT_number 164
_space_group_name_Hall '-P 3 2"'
loop_
_atom_site_label
_atom_site_type_symbol
_atom_site_fract_x
_atom_site_fract_y
_atom_site_fract_z
Tl1 Tl 0.1668 0.3335 0.2413
Tl2 Tl 0.3333 0.6667 0.7247
H1 H 0.0000 0.0000 0.5000
```

Main lines, in order of rising 2θ (2θ from 10° to 90°):
2θ 29.04, intensity 23; 2θ 30.98, intensity 25; 2θ 33.00, intensity 100; 2θ 42.98, intensity 16; 2θ 51.47, intensity 20; 2θ 56.41, intensity 21; 2θ 61.30, intensity 23; 2θ 62.52, intensity 16

---

# Cs2K5Hg
Calculated PXRD pattern, Cu Kα. Input: the PBE geometry in Alexandria.

Atomic structure:
```
data_Cs2K5Hg
_chemical_formula_sum 'Cs4 K10 Hg2'
_cell_length_a 8.600
_cell_length_b 8.600
_cell_length_c 17.277
_cell_angle_alpha 90.00
_cell_angle_beta 90.00
_cell_angle_gamma 90.00
_space_group_name_H-M_alt 'I 4 m m'
_space_group_IT_number 107
_space_group_name_Hall 'I 4 -2'
loop_
_atom_site_label
_atom_site_type_symbol
_atom_site_fract_x
_atom_site_fract_y
_atom_site_fract_z
Cs1 Cs 0.000 0.500 0.000
K1 K 0.000 0.000 0.094
K2 K 0.243 0.243 0.773
Hg1 Hg 0.000 0.000 0.895
```

Main lines, in order of rising 2θ (2θ from 10° to 90°):
2θ 10.24, intensity 40; 2θ 11.49, intensity 92; 2θ 17.84, intensity 45; 2θ 20.64, intensity 34; 2θ 23.11, intensity 100; 2θ 25.29, intensity 71; 2θ 29.37, intensity 56; 2θ 39.14, intensity 45